# PaV4O12
Simulated X-ray powder pattern, copper Kα. Input: a cell relaxed with GGA+U.

Most intense lines, 10 to 90 degrees two-theta, by angle:
d 5.313, intensity 100.0; d 5.291, intensity 26.8; d 5.227, intensity 25.3; d 3.070, intensity 31.1; d 3.034, intensity 24.0; d 2.649, intensity 33.2

Cell and atoms:
Cell lengths 6.460, 6.460, 6.491 Å; angles 109.92, 109.89, 108.02 degrees
Space group P1 (No. 1)
Asymmetric unit:
Pa  0.000  0.000  0.000 (multiplicity 1)
V  0.036  0.038  0.514 (multiplicity 1)
V  0.044  0.525  0.009 (multiplicity 1)
V  0.522  0.043  0.006 (multiplicity 1)
V  0.523  0.522  0.495 (multiplicity 1)
O  0.062  0.817  0.257 (multiplicity 1)
O  0.178  0.426  0.243 (multiplicity 1)
O  0.191  0.945  0.760 (multiplicity 1)
O  0.292  0.292  0.604 (multiplicity 1)
O  0.298  0.692  0.012 (multiplicity 1)
O  0.426  0.178  0.242 (multiplicity 1)
O  0.572  0.822  0.777 (multiplicity 1)
O  0.692  0.298  0.011 (multiplicity 1)
O  0.702  0.702  0.423 (multiplicity 1)
O  0.817  0.063  0.258 (multiplicity 1)
O  0.822  0.572  0.777 (multiplicity 1)
O  0.945  0.191  0.761 (multiplicity 1)